No. 1
Computed powder X-ray diffraction pattern
Compound: CdAg2Bi6Se11
Radiation: Cu Kα (λ = 1.5418 Å)
Structure: a structure optimized by DFT (GGA-PBE)
Lines closer than 0.1° are merged.

Structure:
a b c (Å): 7.235 7.235 19.687
angles (deg): 102.72 102.72 33.65
Sites, in units of the cell vectors:
Cd: 0.000 0.000 0.000
Ag: 0.400 0.400 0.551
Ag: 0.600 0.600 0.449
Bi: 0.109 0.109 0.271
Bi: 0.142 0.142 0.636
Bi: 0.313 0.313 0.100
Bi: 0.687 0.687 0.900
Bi: 0.858 0.858 0.364
Bi: 0.891 0.891 0.729
Se: 0.000 0.000 0.500
Se: 0.040 0.040 0.872
Se: 0.238 0.238 0.411
Se: 0.275 0.275 0.775
Se: 0.345 0.345 0.967
Se: 0.478 0.478 0.312
Se: 0.522 0.522 0.688
Se: 0.655 0.655 0.033
Se: 0.725 0.725 0.225
Se: 0.762 0.762 0.589
Se: 0.960 0.960 0.128

Principal peaks in the range 10 to 90 degrees two-theta, in order of rising 2θ:
2theta, I_rel
16.8, 17.1
21.3, 17.0
23.9, 17.5
24.7, 19.4
28.8, 27.8
29.2, 22.5
29.3, 28.9
30.3, 100.0
42.7, 45.8
43.2, 31.3

No. 2
Computed powder X-ray diffraction pattern
Compound: Cs2AgBiCl6
Radiation: Cu Kα (λ = 1.5418 Å)
Structure: a structure optimized by DFT (GGA-PBE)
Lines closer than 0.1° are merged.

Structure:
a b c (Å): 7.688 7.692 10.876
angles (deg): 90.02 90.00 90.00
Sites, in units of the cell vectors:
Cs: 0.000 0.000 0.000
Cs: 0.000 0.000 0.500
Cs: 0.500 0.500 0.000
Cs: 0.500 0.500 0.500
Ag: 0.000 0.499 0.250
Ag: 0.500 0.000 0.750
Bi: 0.000 0.500 0.750
Bi: 0.500 0.999 0.250
Cl: 0.001 0.500 0.500
Cl: 0.243 0.755 0.249
Cl: 0.248 0.246 0.751
Cl: 0.254 0.747 0.751
Cl: 0.255 0.256 0.250
Cl: 0.499 0.999 0.501
Cl: 0.501 0.000 0.000
Cl: 0.745 0.743 0.251
Cl: 0.746 0.253 0.749
Cl: 0.753 0.754 0.750
Cl: 0.757 0.244 0.251
Cl: 0.999 0.500 0.001

Principal peaks in the range 10 to 90 degrees two-theta, in order of rising 2θ:
2theta, I_rel
23.1, 100.0
32.9, 51.0
40.6, 47.1
47.3, 35.4
53.3, 21.6
58.8, 12.0
64.1, 25.1
74.0, 12.6
78.7, 15.6
88.0, 12.2

No. 3
Computed powder X-ray diffraction pattern
Compound: AgBi2ClO3
Radiation: Cu Kα (λ = 1.5418 Å)
Structure: a structure optimized by DFT (GGA-PBE)
Lines closer than 0.1° are merged.

Structure:
a b c (Å): 6.971 3.626 9.696
angles (deg): 90.00 95.69 90.00
Sites, in units of the cell vectors:
Ag: 0.082 0.250 0.394
Ag: 0.918 0.750 0.606
Bi: 0.177 0.250 0.910
Bi: 0.437 0.750 0.648
Bi: 0.563 0.250 0.352
Bi: 0.823 0.750 0.090
Cl: 0.381 0.750 0.116
Cl: 0.619 0.250 0.884
O: 0.006 0.250 0.128
O: 0.211 0.250 0.667
O: 0.355 0.750 0.430
O: 0.645 0.250 0.570
O: 0.789 0.750 0.333
O: 0.994 0.750 0.872

Principal peaks in the range 10 to 90 degrees two-theta, in order of rising 2θ:
2theta, I_rel
16.5, 49.5
23.5, 19.8
27.8, 21.4
28.9, 32.4
30.2, 50.8
30.8, 100.0
35.8, 63.2
37.3, 29.1
50.3, 20.0
50.6, 28.2

No. 4
Computed powder X-ray diffraction pattern
Compound: AgBi3S4Cl2
Radiation: Cu Kα (λ = 1.5418 Å)
Structure: a structure optimized by DFT (GGA-PBE)
Lines closer than 0.1° are merged.

Structure:
a b c (Å): 7.007 7.007 9.824
angles (deg): 93.53 93.53 34.17
Sites, in units of the cell vectors:
Ag: 0.000 0.000 0.000
Bi: 0.000 0.000 0.500
Bi: 0.281 0.281 0.176
Bi: 0.719 0.719 0.824
S: 0.081 0.081 0.768
S: 0.353 0.353 0.940
S: 0.647 0.647 0.060
S: 0.919 0.919 0.232
Cl: 0.369 0.369 0.564
Cl: 0.631 0.631 0.436

Principal peaks in the range 10 to 90 degrees two-theta, in order of rising 2θ:
2theta, I_rel
15.6, 85.4
23.2, 81.4
24.5, 54.7
27.3, 36.1
28.8, 76.1
29.5, 100.0
31.3, 33.0
35.6, 39.2
43.5, 50.1
43.9, 77.2

No. 5
Computed powder X-ray diffraction pattern
Compound: AgBiTeCl2
Radiation: Cu Kα (λ = 1.5418 Å)
Structure: a structure optimized by DFT (GGA-PBE)
Lines closer than 0.1° are merged.

Structure:
a b c (Å): 7.968 7.968 8.948
angles (deg): 90.00 90.00 148.65
Sites, in units of the cell vectors:
Ag: 0.000 0.000 0.000
Ag: 0.000 0.000 0.500
Bi: 0.273 0.727 0.750
Bi: 0.727 0.273 0.250
Te: 0.090 0.910 0.250
Te: 0.910 0.090 0.750
Cl: 0.329 0.671 0.061
Cl: 0.329 0.671 0.439
Cl: 0.671 0.329 0.561
Cl: 0.671 0.329 0.939

Principal peaks in the range 10 to 90 degrees two-theta, in order of rising 2θ:
2theta, I_rel
15.2, 52.0
21.4, 25.7
23.0, 47.9
27.1, 41.4
28.9, 100.0
40.6, 36.3
40.8, 41.8
41.4, 45.8
42.0, 25.3
59.8, 22.6

No. 6
Computed powder X-ray diffraction pattern
Compound: CsK2Ag3Bi2
Radiation: Cu Kα (λ = 1.5418 Å)
Structure: a structure optimized by DFT (GGA-PBE)
Lines closer than 0.1° are merged.

Structure:
a b c (Å): 8.685 8.685 8.685
angles (deg): 43.33 43.33 43.33
Sites, in units of the cell vectors:
Cs: 0.000 0.000 0.000
K: 0.416 0.416 0.416
K: 0.584 0.584 0.584
Ag: 0.000 0.000 0.500
Ag: 0.000 0.500 0.000
Ag: 0.500 0.000 0.000
Bi: 0.258 0.258 0.258
Bi: 0.742 0.742 0.742

Principal peaks in the range 10 to 90 degrees two-theta, in order of rising 2θ:
2theta, I_rel
17.7, 98.4
22.0, 69.3
27.8, 72.8
30.1, 41.8
31.1, 42.0
35.7, 100.0
36.2, 59.7
44.9, 50.6
54.8, 34.8
57.5, 33.1

No. 7
Computed powder X-ray diffraction pattern
Compound: Cs2KAg3Bi2
Radiation: Cu Kα (λ = 1.5418 Å)
Structure: a structure optimized by DFT (GGA-PBE)
Lines closer than 0.1° are merged.

Structure:
a b c (Å): 8.783 8.783 8.783
angles (deg): 45.36 45.36 45.36
Sites, in units of the cell vectors:
Cs: 0.085 0.085 0.085
Cs: 0.915 0.915 0.915
K: 0.500 0.500 0.500
Ag: 0.000 0.500 0.500
Ag: 0.500 0.000 0.500
Ag: 0.500 0.500 0.000
Bi: 0.247 0.247 0.247
Bi: 0.753 0.753 0.753

Principal peaks in the range 10 to 90 degrees two-theta, in order of rising 2θ:
2theta, I_rel
11.3, 31.2
16.9, 66.7
24.2, 28.9
26.3, 68.3
30.7, 35.9
34.1, 46.2
35.0, 100.0
43.5, 26.9
52.2, 32.2
54.2, 28.2

No. 8
Computed powder X-ray diffraction pattern
Compound: CsNaAgBi
Radiation: Cu Kα (λ = 1.5418 Å)
Structure: a structure optimized by DFT (GGA-PBE)
Lines closer than 0.1° are merged.

Structure:
a b c (Å): 6.399 6.078 7.447
angles (deg): 90.00 104.81 90.00
Sites, in units of the cell vectors:
Cs: 0.063 0.250 0.177
Cs: 0.937 0.750 0.823
Na: 0.334 0.750 0.522
Na: 0.666 0.250 0.478
Ag: 0.500 0.000 0.000
Ag: 0.500 0.500 0.000
Bi: 0.275 0.250 0.693
Bi: 0.725 0.750 0.307

Principal peaks in the range 10 to 90 degrees two-theta, in order of rising 2θ:
2theta, I_rel
16.3, 52.6
20.5, 100.0
22.0, 42.8
28.3, 61.8
28.8, 43.6
29.3, 62.9
31.8, 39.3
32.0, 45.2
36.5, 56.4
37.5, 42.6

No. 9
Computed powder X-ray diffraction pattern
Compound: CsNaAgBi
Radiation: Cu Kα (λ = 1.5418 Å)
Structure: a structure optimized by DFT (GGA-PBE)
Lines closer than 0.1° are merged.

Structure:
a b c (Å): 6.452 6.062 7.403
angles (deg): 90.00 104.32 90.00
Sites, in units of the cell vectors:
Cs: 0.061 0.250 0.178
Cs: 0.939 0.750 0.822
Na: 0.341 0.750 0.526
Na: 0.659 0.250 0.474
Ag: 0.500 0.000 0.000
Ag: 0.500 0.500 0.000
Bi: 0.275 0.250 0.694
Bi: 0.725 0.750 0.306

Principal peaks in the range 10 to 90 degrees two-theta, in order of rising 2θ:
2theta, I_rel
16.3, 53.2
20.4, 100.0
22.0, 42.4
28.2, 61.1
28.9, 41.9
29.4, 85.9
31.7, 39.6
36.5, 50.9
37.2, 38.9
38.9, 39.1

No. 10
Computed powder X-ray diffraction pattern
Compound: CsNa3Ag2Bi2
Radiation: Cu Kα (λ = 1.5418 Å)
Structure: a structure optimized by DFT (GGA-PBE)
Lines closer than 0.1° are merged.

Structure:
a b c (Å): 6.272 5.990 6.799
angles (deg): 90.00 102.88 90.00
Sites, in units of the cell vectors:
Cs: 0.000 0.000 0.000
Na: 0.299 0.500 0.348
Na: 0.634 0.000 0.352
Na: 0.934 0.500 0.657
Ag: 0.453 0.257 0.841
Ag: 0.453 0.743 0.841
Bi: 0.198 0.000 0.531
Bi: 0.722 0.500 0.156

Principal peaks in the range 10 to 90 degrees two-theta, in order of rising 2θ:
2theta, I_rel
17.4, 100.0
20.0, 39.4
20.8, 99.3
30.8, 40.7
31.5, 52.0
33.0, 50.6
33.5, 38.9
37.3, 58.6
53.6, 32.9
54.0, 33.4

No. 11
Computed powder X-ray diffraction pattern
Compound: CsNaAgBi
Radiation: Cu Kα (λ = 1.5418 Å)
Structure: a structure optimized by DFT (GGA-PBE)
Lines closer than 0.1° are merged.

Structure:
a b c (Å): 6.463 8.477 10.661
angles (deg): 90.00 90.00 90.00
Sites, in units of the cell vectors:
Cs: 0.250 0.157 0.000
Cs: 0.250 0.657 0.500
Cs: 0.750 0.343 0.500
Cs: 0.750 0.843 0.000
Na: 0.250 0.157 0.347
Na: 0.250 0.657 0.847
Na: 0.750 0.343 0.847
Na: 0.750 0.843 0.347
Ag: 0.000 0.000 0.688
Ag: 0.000 0.500 0.188
Ag: 0.500 0.000 0.688
Ag: 0.500 0.500 0.188
Bi: 0.250 0.268 0.664
Bi: 0.250 0.768 0.164
Bi: 0.750 0.232 0.164
Bi: 0.750 0.732 0.664

Principal peaks in the range 10 to 90 degrees two-theta, in order of rising 2θ:
2theta, I_rel
16.6, 57.2
19.2, 69.1
30.6, 100.0
30.8, 28.8
32.8, 26.2
34.9, 44.7
35.7, 26.5
38.9, 37.0
46.1, 27.5
50.7, 24.6

No. 12
Computed powder X-ray diffraction pattern
Compound: Cs2RbAg3Bi2
Radiation: Cu Kα (λ = 1.5418 Å)
Structure: a structure optimized by DFT (GGA-PBE)
Lines closer than 0.1° are merged.

Structure:
a b c (Å): 8.691 8.691 8.691
angles (deg): 44.84 44.84 44.84
Sites, in units of the cell vectors:
Cs: 0.084 0.084 0.084
Cs: 0.916 0.916 0.916
Rb: 0.500 0.500 0.500
Ag: 0.000 0.500 0.500
Ag: 0.500 0.000 0.500
Ag: 0.500 0.500 0.000
Bi: 0.245 0.245 0.245
Bi: 0.755 0.755 0.755

Principal peaks in the range 10 to 90 degrees two-theta, in order of rising 2θ:
2theta, I_rel
17.2, 57.7
24.5, 36.3
26.9, 90.2
30.9, 39.7
31.4, 35.0
34.8, 54.3
35.5, 100.0
44.2, 28.9
53.3, 32.7
55.4, 34.7

Copy entry 7 word for word.
Computed powder X-ray diffraction pattern
Compound: Cs2KAg3Bi2
Radiation: Cu Kα (λ = 1.5418 Å)
Structure: a structure optimized by DFT (GGA-PBE)
Lines closer than 0.1° are merged.

Structure:
a b c (Å): 8.783 8.783 8.783
angles (deg): 45.36 45.36 45.36
Sites, in units of the cell vectors:
Cs: 0.085 0.085 0.085
Cs: 0.915 0.915 0.915
K: 0.500 0.500 0.500
Ag: 0.000 0.500 0.500
Ag: 0.500 0.000 0.500
Ag: 0.500 0.500 0.000
Bi: 0.247 0.247 0.247
Bi: 0.753 0.753 0.753

Principal peaks in the range 10 to 90 degrees two-theta, in order of rising 2θ:
2theta, I_rel
11.3, 31.2
16.9, 66.7
24.2, 28.9
26.3, 68.3
30.7, 35.9
34.1, 46.2
35.0, 100.0
43.5, 26.9
52.2, 32.2
54.2, 28.2

Repeat the fifth record exactly.
Computed powder X-ray diffraction pattern
Compound: AgBiTeCl2
Radiation: Cu Kα (λ = 1.5418 Å)
Structure: a structure optimized by DFT (GGA-PBE)
Lines closer than 0.1° are merged.

Structure:
a b c (Å): 7.968 7.968 8.948
angles (deg): 90.00 90.00 148.65
Sites, in units of the cell vectors:
Ag: 0.000 0.000 0.000
Ag: 0.000 0.000 0.500
Bi: 0.273 0.727 0.750
Bi: 0.727 0.273 0.250
Te: 0.090 0.910 0.250
Te: 0.910 0.090 0.750
Cl: 0.329 0.671 0.061
Cl: 0.329 0.671 0.439
Cl: 0.671 0.329 0.561
Cl: 0.671 0.329 0.939

Principal peaks in the range 10 to 90 degrees two-theta, in order of rising 2θ:
2theta, I_rel
15.2, 52.0
21.4, 25.7
23.0, 47.9
27.1, 41.4
28.9, 100.0
40.6, 36.3
40.8, 41.8
41.4, 45.8
42.0, 25.3
59.8, 22.6